Entry 1:
For Ac12La5Er, the GGA-PBE geometry in Alexandria gives the simulated X-ray diffraction stick pattern in this record (Cu Kα (λ = 1.5418 Å)).

Principal peaks in the range 2θ from 10° to 90°, by angle:
d_spacing, 2theta, I (rel.)
3.427, 26.00, 21
3.403, 26.19, 13
3.145, 28.38, 37
3.009, 29.69, 100
2.993, 29.85, 46
2.317, 38.87, 15
1.969, 46.10, 20
1.788, 51.07, 23
1.785, 51.17, 11
1.677, 54.72, 12
1.669, 55.02, 23
1.653, 55.60, 16

Atomic structure:
```
Ac12La5Er
1.0
10.2086 -5.9488 0.0000
10.2086 5.9488 0.0000
-0.0004 0.0000 6.2900
Ac La Er
12 5 1
Cartesian
7.8557 4.0195 3.1460
4.4097 1.9313 3.1405
10.2086 4.0303 0.0000
6.7845 1.9276 0.0003
4.4097 -1.9313 3.1405
11.2464 1.9506 3.1450
6.7845 -1.9276 0.0003
13.5865 1.9290 6.2875
11.2464 -1.9506 3.1450
7.8557 -4.0195 3.1460
13.5865 -1.9290 6.2875
10.2086 -4.0303 0.0000
3.2477 0.0000 6.2838
7.9281 0.0000 3.1463
10.0651 0.0000 6.2870
14.7433 0.0000 3.1400
16.9059 0.0000 0.0024
1.0879 0.0000 3.1438
```

***

Entry 2:
For Ac3La5Er3, the GGA-PBE geometry in Alexandria gives the simulated X-ray diffraction stick pattern in this record (Cu Kα (λ = 1.5418 Å)).

Principal peaks in the range 2θ from 10° to 90°, by angle:
d_spacing, 2theta, I (rel.)
6.167, 14.36, 30
4.782, 18.56, 62
3.779, 23.54, 100
3.130, 28.51, 42
3.084, 28.96, 67
2.791, 32.07, 92
2.761, 32.43, 59
2.591, 34.61, 27
2.229, 40.47, 59
2.197, 41.09, 31
2.057, 44.03, 53
1.734, 52.78, 48

Atomic structure:
```
Ac3La5Er3
1.0
9.5633 0.0000 0.0000
-4.7817 8.2821 0.0000
0.0000 0.0000 6.1670
Ac La Er
3 5 3
Cartesian
-1.6500 2.8579 0.0000
3.3001 0.0000 0.0000
3.1316 5.4241 0.0000
-2.9131 5.0456 3.0835
0.0000 5.5214 3.0835
1.8686 3.2365 3.0835
5.8261 0.0000 3.0835
4.7817 2.7607 3.0835
-1.0289 1.7821 3.0835
2.0578 0.0000 3.0835
3.7527 6.4999 3.0835
```

***

Entry 3:
For Ac2La3Er3, the GGA-PBE geometry in Alexandria gives the simulated X-ray diffraction stick pattern in this record (Cu Kα (λ = 1.5418 Å)).

Principal peaks in the range 2θ from 10° to 90°, by angle:
d_spacing, 2theta, I (rel.)
3.522, 25.29, 14
3.298, 27.04, 22
3.034, 29.44, 100
2.900, 30.83, 13
2.839, 31.52, 50
2.787, 32.12, 43
2.562, 35.02, 48
1.840, 49.54, 13
1.787, 51.12, 34
1.573, 58.68, 29
1.525, 60.73, 16
1.179, 81.71, 16

Atomic structure:
```
Ac2La3Er3
1.0
1.8401 -11.1494 0.0000
1.8401 11.1494 0.0000
0.0000 0.0000 14.4638
Ac La Er
4 6 6
Cartesian
1.8401 5.8138 8.9915
1.8401 5.8138 12.7041
1.8401 -5.8138 1.7596
1.8401 -5.8138 5.4723
1.8401 2.5366 7.2425
1.8401 2.5366 14.4532
1.8401 2.4524 10.8478
1.8401 -2.4524 3.6159
1.8401 -2.5366 0.0106
1.8401 -2.5366 7.2213
1.8401 11.0623 9.0718
1.8401 11.0623 12.6238
1.8401 2.5269 3.6159
1.8401 -2.5269 10.8478
1.8401 -11.0623 1.8399
1.8401 -11.0623 5.3919
```

***

Entry 4:
For Ac4LaEr2, the GGA-PBE geometry in Alexandria gives the simulated X-ray diffraction stick pattern in this record (Cu Kα (λ = 1.5418 Å)).

Principal peaks in the range 2θ from 10° to 90°, by angle:
d_spacing, 2theta, I (rel.)
3.814, 23.32, 13
3.431, 25.97, 26
3.013, 29.65, 100
2.983, 29.95, 14
2.953, 30.27, 41
2.764, 32.40, 10
2.463, 36.48, 21
1.900, 47.89, 13
1.874, 48.59, 14
1.776, 51.44, 10
1.640, 56.07, 13
1.554, 59.48, 11

Atomic structure:
```
Ac4LaEr2
1.0
0.0000 12.0757 3.4986
6.7708 0.0000 3.4986
6.7708 12.0757 0.0000
Ac La Er
8 2 4
Cartesian
11.9160 9.7956 3.4986
8.4035 9.7935 1.7228
5.0111 3.7577 1.7493
5.1382 14.3579 1.7228
1.7598 8.3180 1.7493
5.0181 8.3201 3.4721
8.5236 15.8314 3.4721
1.6256 14.3558 3.4986
6.7708 12.0757 4.3589
10.1563 18.1136 6.1082
10.1549 12.7301 2.6094
6.7695 5.3834 4.3587
3.3868 11.4213 2.6094
6.7722 18.7680 4.3587
```